Structure and theoretical XRD peak list of Na5Ga3F14 (the GGA-PBE geometry in Alexandria; copper Kα).
Intensities are scaled so that the largest is 100.

Structure:
a b c (Å): 7.414 7.336 12.781
angles (deg): 90.00 124.58 90.00
Space group P2_1/c (No. 14)
Unique sites:
Na1 0.000 0.000 0.000 [2 per cell]
Na2 0.014 0.243 0.739 [4 per cell]
Na3 0.491 0.699 0.252 [4 per cell]
Ga1 0.000 0.000 0.500 [2 per cell]
Ga2 0.500 0.000 0.000 [2 per cell]
Ga3 0.500 0.000 0.500 [2 per cell]
F1 0.110 0.661 0.140 [4 per cell]
F2 0.146 0.205 0.609 [4 per cell]
F3 0.187 0.003 0.882 [4 per cell]
F4 0.249 0.574 0.996 [4 per cell]
F5 0.317 0.055 0.326 [4 per cell]
F6 0.451 0.563 0.626 [4 per cell]
F7 0.488 0.247 0.550 [4 per cell]

The 6 most intense peaks (2θ from 10° to 80°), by intensity:
index, d/Å, I (rel.)
0 2 2, 3.009, 100
0 0 2, 5.261, 61
2 0 0, 3.052, 39
0 1 1, 6.018, 29
2 2 -6, 1.842, 26
2 0 -2, 3.707, 25

---

Structure and theoretical XRD peak list of NaGa2F6 (the GGA-PBE geometry in Alexandria; copper Kα).
Intensities are scaled so that the largest is 100.

Structure:
a b c (Å): 5.4857 5.4857 15.9180
angles (deg): 90.00 90.00 120.00
Space group R3 (No. 146, hexagonal axes)
Unique sites:
Na1 0.0000 0.0000 0.0000 [3 per cell]
Ga1 0.0000 0.0000 0.1958 [3 per cell]
Ga2 0.0000 0.0000 0.5165 [3 per cell]
F1 0.0136 0.7085 0.2590 [9 per cell]
F2 0.0290 0.4095 0.7866 [9 per cell]

The 6 most intense peaks (2θ from 10° to 80°), by intensity:
index, d/Å, I (rel.)
0 0 3, 5.306, 100
1 1 6, 1.907, 74
1 1 3, 2.437, 67
1 0 1, 4.552, 65
0 1 2, 4.079, 47
1 0 4, 3.051, 39

---

Structure and theoretical XRD peak list of Na2GaF4 (the GGA-PBE geometry in Alexandria; copper Kα).
Intensities are scaled so that the largest is 100.

Structure:
a b c (Å): 5.835 5.835 7.511
angles (deg): 90.00 90.00 90.00
Space group I-42m (No. 121)
Unique sites:
Na1 0.000 0.500 0.250 [4 per cell]
Ga1 0.000 0.000 0.000 [2 per cell]
F1 0.205 0.205 0.132 [8 per cell]

The 6 most intense peaks (2θ from 10° to 80°), by intensity:
index, d/Å, I (rel.)
1 0 1, 4.608, 100
1 1 2, 2.777, 71
3 1 2, 1.656, 24
2 1 1, 2.465, 23
2 2 0, 2.063, 23
2 0 4, 1.579, 19

---

Structure and theoretical XRD peak list of NdGa2F8 (the GGA-PBE geometry in Alexandria; copper Kα).
Intensities are scaled so that the largest is 100.

Structure:
a b c (Å): 6.8844 6.8844 4.0476
angles (deg): 90.00 90.00 120.00
Space group P-3m1 (No. 164)
Unique sites:
Nd1 0.0000 0.0000 0.0000 [1 per cell]
Ga1 0.3333 0.6667 0.2678 [2 per cell]
F1 0.1717 0.3435 0.2668 [6 per cell]
F2 0.3333 0.6667 0.7637 [2 per cell]

The 6 most intense peaks (2θ from 10° to 80°), by intensity:
index, d/Å, I (rel.)
1 1 0, 3.442, 100
0 1 1, 3.349, 85
1 2 1, 1.969, 36
2 2 0, 1.721, 29
0 2 2, 1.674, 23
1 0 2, 1.916, 23